No. 1
For TlCd2, a cell relaxed with PBE gives the computed powder diffractogram in this record (Cu Kα (λ = 1.5418 Å)).

Crystal structure
a b c (Å): 5.7532 5.7688 6.0891
angles (deg): 65.52 65.88 61.53
Element x y z (fractional)
Tl (0.1004, 0.3992, 0.2505)
Tl (0.8996, 0.6008, 0.7495)
Cd (0.2481, 0.9180, 0.7700)
Cd (0.4180, 0.7486, 0.2696)
Cd (0.5820, 0.2514, 0.7304)
Cd (0.7519, 0.0820, 0.2300)

Principal peaks in the range 10° ≤ 2θ ≤ 90°, in order of falling intensity:
2.600 Å, 34.50 deg, intensity 100.0; 2.673 Å, 33.53 deg, intensity 74.9; 2.587 Å, 34.67 deg, intensity 58.1; 2.574 Å, 34.85 deg, intensity 57.4; 2.874 Å, 31.12 deg, intensity 55.7; 2.473 Å, 36.33 deg, intensity 42.1; 2.462 Å, 36.49 deg, intensity 41.4; 1.449 Å, 64.30 deg, intensity 22.3

---

No. 2
For TbHo6Th4, a cell relaxed with PBE gives the computed powder diffractogram in this record (Cu Kα (λ = 1.5418 Å)).

Crystal structure
a b c (Å): 18.1444 18.1444 18.1444
angles (deg): 169.18 161.50 21.48
Element x y z (fractional)
Tb (0.0000, 0.0000, 0.0000)
Ho (0.0958, 0.5958, 0.5000)
Ho (0.2672, 0.7672, 0.5000)
Ho (0.3688, 0.8688, 0.5000)
Ho (0.6312, 0.1312, 0.5000)
Ho (0.7328, 0.2328, 0.5000)
Ho (0.9042, 0.4042, 0.5000)
Th (0.1821, 0.1821, 0.0000)
Th (0.4560, 0.4560, 0.0000)
Th (0.5440, 0.5440, 0.0000)
Th (0.8179, 0.8179, 0.0000)

Principal peaks in the range 10° ≤ 2θ ≤ 90°, in order of falling intensity:
2.833 Å, 31.58 deg, intensity 100.0; 2.915 Å, 30.67 deg, intensity 66.3; 2.460 Å, 36.52 deg, intensity 40.2; 2.643 Å, 33.92 deg, intensity 38.0; 3.287 Å, 27.13 deg, intensity 26.3; 1.464 Å, 63.54 deg, intensity 26.2; 1.667 Å, 55.08 deg, intensity 20.1; 3.084 Å, 28.95 deg, intensity 17.8